(1)
CrSn4Au: calculated powder diffractogram (Cu Kα, 1.54184 Å), based on a crystal structure in Alexandria, relaxed with GGA-PBE.
Kinematic intensities with the Lorentz-polarization factor, no thermal factor.

Structural model:
a = 6.861 Å, b = 6.861 Å, c = 5.605 Å
α = 90.00°, β = 90.00°, γ = 90.00°
Element x y z (fractional)
1 Cr 0.000 0.000 0.250
2 Cr 0.000 0.000 0.750
3 Sn 0.131 0.321 0.000
4 Sn 0.131 0.679 0.500
5 Sn 0.321 0.131 0.500
6 Sn 0.321 0.869 0.000
7 Sn 0.679 0.131 0.000
8 Sn 0.679 0.869 0.500
9 Sn 0.869 0.321 0.500
10 Sn 0.869 0.679 0.000
11 Au 0.500 0.500 0.000
12 Au 0.500 0.500 0.500

Main lines, low angle first (2θ from 10° to 90°):
d (Å), Rel. int.
3.068, 31.1
2.802, 43.1
2.691, 100.0
2.170, 52.4
2.069, 44.3
1.716, 32.2
1.596, 28.8
1.232, 25.9

(2)
Rb2Tl3InHg4: calculated powder diffractogram (Cu Kα, 1.54184 Å), based on a crystal structure in Alexandria, relaxed with GGA-PBE.
Kinematic intensities with the Lorentz-polarization factor, no thermal factor.

Structural model:
a = 5.506 Å, b = 5.506 Å, c = 11.718 Å
α = 90.00°, β = 90.00°, γ = 90.00°
Element x y z (fractional)
1 Rb 0.000 0.500 0.244
2 Rb 0.500 0.000 0.756
3 Tl 0.000 0.500 0.883
4 Tl 0.500 0.000 0.117
5 Tl 0.500 0.500 0.500
6 In 0.000 0.000 0.500
7 Hg 0.000 0.000 0.000
8 Hg 0.000 0.500 0.621
9 Hg 0.500 0.000 0.379
10 Hg 0.500 0.500 0.000

Main lines, low angle first (2θ from 10° to 90°):
d (Å), Rel. int.
5.859, 38.4
4.983, 41.7
3.243, 74.0
3.186, 65.6
2.753, 100.0
2.341, 79.9
2.083, 40.5
1.497, 40.4

(3)
CeTm2Ir3: calculated powder diffractogram (Cu Kα, 1.54184 Å), based on a crystal structure in Alexandria, relaxed with GGA-PBE.
Kinematic intensities with the Lorentz-polarization factor, no thermal factor.

Structural model:
a = 4.851 Å, b = 4.851 Å, c = 5.921 Å
α = 90.00°, β = 90.00°, γ = 120.00°
Element x y z (fractional)
1 Ce 0.000 0.000 0.000
2 Tm 0.333 0.667 0.661
3 Tm 0.667 0.333 0.339
4 Ir 0.000 0.000 0.500
5 Ir 0.333 0.667 0.162
6 Ir 0.667 0.333 0.838

Main lines, low angle first (2θ from 10° to 90°):
d (Å), Rel. int.
3.426, 1.0
2.423, 100.0
1.713, 17.7
1.400, 27.2
1.396, 8.9
1.213, 5.7
1.210, 5.6

(4)
UB4O8: calculated powder diffractogram (Cu Kα, 1.54184 Å), based on a crystal structure in Alexandria, relaxed with GGA-PBE.
Kinematic intensities with the Lorentz-polarization factor, no thermal factor.

Structural model:
a = 8.293 Å, b = 8.293 Å, c = 7.311 Å
α = 113.23°, β = 113.23°, γ = 29.80°
Element x y z (fractional)
1 U 0.152 0.848 0.750
2 U 0.848 0.152 0.250
3 B 0.002 0.608 0.295
4 B 0.173 0.547 0.003
5 B 0.392 0.998 0.205
6 B 0.453 0.827 0.497
7 B 0.547 0.173 0.503
8 B 0.608 0.002 0.795
9 B 0.827 0.453 0.997
10 B 0.998 0.392 0.705
11 O 0.063 0.673 0.197
12 O 0.072 0.361 0.170
13 O 0.176 0.720 0.002
14 O 0.196 0.496 0.488
15 O 0.280 0.824 0.498
16 O 0.327 0.937 0.303
17 O 0.361 0.072 0.670
18 O 0.496 0.196 0.988
19 O 0.504 0.804 0.012
20 O 0.639 0.928 0.330
21 O 0.673 0.063 0.697
22 O 0.720 0.176 0.502
23 O 0.804 0.504 0.512
24 O 0.824 0.280 0.998
25 O 0.928 0.639 0.830
26 O 0.937 0.327 0.803

Main lines, low angle first (2θ from 10° to 90°):
d (Å), Rel. int.
7.316, 100.0
4.094, 29.4
3.682, 25.4
3.654, 40.9
3.325, 31.3
3.255, 31.2
3.203, 51.0
2.630, 29.9